# 1
Starting from a DFT-relaxed cell (GGA-PBE, Alexandria), the XRD peak list of MgH6IrPd2 was computed for Cu Kα (λ = 1.5418 Å).
No peak broadening, texture or thermal motion is included.

a = 4.544 Å, b = 4.852 Å, c = 5.321 Å
α = 89.99°, β = 66.58°, γ = 62.08°
Space group P1 (No. 1)
Inequivalent atoms, fractional coordinates:
Mg  0.000  0.000  0.000 [1 per cell]
H  0.027  0.735  0.496 [1 per cell]
H  0.433  0.620  0.115 [1 per cell]
H  0.441  0.172  0.362 [1 per cell]
H  0.460  0.067  0.964 [1 per cell]
H  0.822  0.664  0.134 [1 per cell]
H  0.824  0.399  0.475 [1 per cell]
Ir  0.181  0.433  0.214 [1 per cell]
Pd  0.622  0.146  0.610 [1 per cell]
Pd  0.822  0.556  0.815 [1 per cell]

Top 8 peaks for 15 to 90 degrees two-theta, sorted by position:
d (Å)	I (rel.)	hkl
4.173	63	0 1 0
3.863	63	1 1 0
3.800	55	1 0 1
2.415	100	1 -1 1
2.392	55	1 0 -1
2.326	51	1 1 2
2.305	47	0 1 -2
2.271	48	2 1 1

---

# 2
Starting from a DFT-relaxed cell (GGA-PBE, Alexandria), the XRD peak list of Li2CdFeCl6 was computed for Cu Kα (λ = 1.5418 Å).
No peak broadening, texture or thermal motion is included.

a = 6.4339 Å, b = 6.4339 Å, c = 17.6099 Å
α = 90.00°, β = 90.00°, γ = 120.00°
Space group R3 (No. 146, hexagonal axes)
Inequivalent atoms, fractional coordinates:
Li  0.0000  0.0000  0.0000 [3 per cell]
Li  0.0000  0.0000  0.4945 [3 per cell]
Cd  0.0000  0.0000  0.1945 [3 per cell]
Fe  0.0000  0.0000  0.6898 [3 per cell]
Cl  0.0102  0.7021  0.5981 [9 per cell]
Cl  0.0158  0.3373  0.7596 [9 per cell]

Top 8 peaks for 15 to 90 degrees two-theta, sorted by position:
d (Å)	I (rel.)	hkl
4.708	100	0 1 2
3.454	41	1 0 4
2.821	67	1 1 3
2.354	21	0 2 4
2.168	61	2 -1 6
2.048	28	3 -2 2
1.900	19	3 -1 4
1.857	35	3 0 0

---

# 3
Starting from a DFT-relaxed cell (GGA-PBE, Alexandria), the XRD peak list of Dy3Ga3Co2 was computed for Cu Kα (λ = 1.5418 Å).
No peak broadening, texture or thermal motion is included.

a = 4.174 Å, b = 10.198 Å, c = 14.584 Å
α = 90.00°, β = 90.00°, γ = 90.00°
Space group Cmcm (No. 63)
Inequivalent atoms, fractional coordinates:
Dy  0.000  0.077  0.108 [8 per cell]
Dy  0.000  0.358  0.250 [4 per cell]
Ga  0.000  0.343  0.750 [4 per cell]
Ga  0.000  0.364  0.038 [8 per cell]
Co  0.000  0.214  0.604 [8 per cell]

Top 8 peaks for 15 to 90 degrees two-theta, sorted by position:
d (Å)	I (rel.)	hkl
2.651	100	1 1 4
2.594	46	1 3 1
2.431	21	0 0 6
2.317	40	1 3 3
2.258	19	0 4 3
2.136	23	1 3 4
2.087	43	2 0 0
1.376	20	1 7 0

---

# 4
Starting from a DFT-relaxed cell (GGA-PBE, Alexandria), the XRD peak list of Sr5AgHg was computed for Cu Kα (λ = 1.5418 Å).
No peak broadening, texture or thermal motion is included.

a = 8.933 Å, b = 4.458 Å, c = 15.272 Å
α = 90.00°, β = 92.86°, γ = 90.00°
Space group P2_1/m (No. 11)
Inequivalent atoms, fractional coordinates:
Sr  0.059  0.250  0.183 [2 per cell]
Sr  0.145  0.750  0.569 [2 per cell]
Sr  0.303  0.750  0.005 [2 per cell]
Sr  0.326  0.250  0.770 [2 per cell]
Sr  0.369  0.250  0.382 [2 per cell]
Ag  0.075  0.750  0.346 [2 per cell]
Hg  0.427  0.250  0.156 [2 per cell]

Top 8 peaks for 15 to 90 degrees two-theta, sorted by position:
d (Å)	I (rel.)	hkl
3.439	75	2 0 -3
3.153	100	2 1 0
3.104	76	1 1 3
2.947	72	3 0 -1
2.897	96	0 1 4
2.878	77	2 1 2
2.473	91	2 1 -4
2.229	83	0 2 0

---

# 5
Starting from a DFT-relaxed cell (GGA-PBE, Alexandria), the XRD peak list of CsAgIrF6 was computed for Cu Kα (λ = 1.5418 Å).
No peak broadening, texture or thermal motion is included.

a = 6.149 Å, b = 10.712 Å, c = 5.962 Å
α = 90.00°, β = 90.19°, γ = 90.00°
Space group C2 (No. 5)
Inequivalent atoms, fractional coordinates:
Cs  0.000  0.000  0.000 [2 per cell]
Ag  0.000  0.334  0.500 [2 per cell]
Ir  0.000  0.667  0.500 [2 per cell]
F  0.125  0.531  0.317 [4 per cell]
F  0.139  0.798  0.317 [4 per cell]
F  0.231  0.171  0.319 [4 per cell]

Top 8 peaks for 15 to 90 degrees two-theta, sorted by position:
d (Å)	I (rel.)	hkl
5.340	11	1 1 0
3.978	100	1 1 1
3.088	29	1 3 0
3.074	14	2 0 0
2.981	11	0 0 2
2.440	16	0 4 1
2.145	36	1 3 -2
1.915	13	2 4 -1

---

# 6
Starting from a DFT-relaxed cell (GGA-PBE, Alexandria), the XRD peak list of SrNpB12 was computed for Cu Kα (λ = 1.5418 Å).
No peak broadening, texture or thermal motion is included.

a = 8.271 Å, b = 8.271 Å, c = 8.271 Å
α = 90.00°, β = 90.00°, γ = 90.00°
Space group Fm-3m (No. 225)
Inequivalent atoms, fractional coordinates:
Sr  0.000  0.000  0.000 [4 per cell]
Np  0.000  0.000  0.500 [4 per cell]
B  0.100  0.250  0.250 [48 per cell]

Top 8 peaks for 15 to 90 degrees two-theta, sorted by position:
d (Å)	I (rel.)	hkl
4.775	39	1 1 1
4.135	68	2 0 0
2.924	100	2 2 0
2.494	24	3 1 1
2.388	42	2 2 2
1.849	51	4 2 0
1.688	29	4 2 2
1.378	29	4 4 2

---

# 7
Starting from a DFT-relaxed cell (GGA-PBE, Alexandria), the XRD peak list of Mn3Fe11 was computed for Cu Kα (λ = 1.5418 Å).
No peak broadening, texture or thermal motion is included.

a = 3.860 Å, b = 8.988 Å, c = 9.254 Å
α = 90.00°, β = 90.00°, γ = 90.00°
Space group Immm (No. 71)
Inequivalent atoms, fractional coordinates:
Mn  0.000  0.000  0.000 [2 per cell]
Mn  0.000  0.000  0.279 [4 per cell]
Fe  0.000  0.152  0.500 [4 per cell]
Fe  0.000  0.271  0.144 [8 per cell]
Fe  0.000  0.378  0.362 [8 per cell]
Fe  0.000  0.500  0.000 [2 per cell]

Top 8 peaks for 15 to 90 degrees two-theta, sorted by position:
d (Å)	I (rel.)	hkl
2.367	22	1 3 0
2.124	100	1 2 3
2.107	38	1 3 2
2.057	30	0 2 4
1.938	46	1 1 4
1.930	66	2 0 0
1.900	82	1 4 1
1.093	30	1 4 7

---

# 8
Starting from a DFT-relaxed cell (GGA-PBE, Alexandria), the XRD peak list of CuAg6Br12 was computed for Cu Kα (λ = 1.5418 Å).
No peak broadening, texture or thermal motion is included.

a = 11.4211 Å, b = 11.4211 Å, c = 15.9025 Å
α = 90.00°, β = 90.00°, γ = 120.00°
Space group R-3 (No. 148, hexagonal axes)
Inequivalent atoms, fractional coordinates:
Cu  0.0000  0.0000  0.0000 [3 per cell]
Ag  0.0408  0.7736  0.6697 [18 per cell]
Br  0.0264  0.8287  0.3813 [18 per cell]
Br  0.0906  0.8815  0.9055 [18 per cell]

Top 8 peaks for 15 to 90 degrees two-theta, sorted by position:
d (Å)	I (rel.)	hkl
5.301	95	0 0 3
3.689	28	1 0 4
3.639	44	3 -1 1
2.723	100	3 -1 4
2.593	31	4 -1 2
2.158	30	4 1 0
1.999	27	4 1 3
1.942	30	3 -1 7

---

# 9
Starting from a DFT-relaxed cell (GGA-PBE, Alexandria), the XRD peak list of Pm3SbTe6 was computed for Cu Kα (λ = 1.5418 Å).
No peak broadening, texture or thermal motion is included.

a = 12.139 Å, b = 15.261 Å, c = 7.643 Å
α = 90.00°, β = 90.00°, γ = 90.00°
Space group Cmc2_1 (No. 36)
Inequivalent atoms, fractional coordinates:
Pm  0.000  0.092  0.000 [4 per cell]
Pm  0.181  0.401  0.881 [8 per cell]
Sb  0.000  0.323  0.370 [4 per cell]
Te  0.000  0.265  0.742 [4 per cell]
Te  0.000  0.495  0.124 [4 per cell]
Te  0.166  0.038  0.695 [8 per cell]
Te  0.169  0.235  0.166 [8 per cell]

Top 8 peaks for 15 to 90 degrees two-theta, sorted by position:
d (Å)	I (rel.)	hkl
4.034	67	2 2 1
2.977	36	2 2 2
2.925	100	3 3 1
2.733	65	3 1 2
2.700	61	0 4 2
2.437	61	3 5 0
2.135	29	3 1 3
2.023	31	6 0 0

---

# 10
Starting from a DFT-relaxed cell (GGA-PBE, Alexandria), the XRD peak list of La3Sn3Rh2 was computed for Cu Kα (λ = 1.5418 Å).
No peak broadening, texture or thermal motion is included.

a = 8.690 Å, b = 16.019 Å, c = 5.952 Å
α = 90.00°, β = 90.00°, γ = 90.00°
Space group Pnma (No. 62)
Inequivalent atoms, fractional coordinates:
La  0.032  0.111  0.113 [8 per cell]
La  0.167  0.250  0.628 [4 per cell]
Sn  0.177  0.750  0.615 [4 per cell]
Sn  0.189  0.034  0.614 [8 per cell]
Rh  0.087  0.610  0.367 [8 per cell]

Top 8 peaks for 15 to 90 degrees two-theta, sorted by position:
d (Å)	I (rel.)	hkl
2.945	100	2 4 0
2.816	48	1 0 2
2.773	51	1 1 2
2.639	75	2 4 1
2.605	60	3 0 1
2.491	68	1 3 2
2.303	54	1 4 2
2.041	35	4 0 1

---

# 11
Starting from a DFT-relaxed cell (GGA-PBE, Alexandria), the XRD peak list of Ir4Ru3 was computed for Cu Kα (λ = 1.5418 Å).
No peak broadening, texture or thermal motion is included.

a = 3.310 Å, b = 3.310 Å, c = 18.889 Å
α = 90.00°, β = 90.00°, γ = 90.00°
Space group I4/mmm (No. 139)
Inequivalent atoms, fractional coordinates:
Ir  0.000  0.000  0.072 [4 per cell]
Ir  0.000  0.000  0.357 [4 per cell]
Ru  0.000  0.000  0.214 [4 per cell]
Ru  0.000  0.000  0.500 [2 per cell]

Top 8 peaks for 15 to 90 degrees two-theta, sorted by position:
d (Å)	I (rel.)	hkl
4.722	7	0 0 4
2.930	8	1 0 3
2.341	70	1 1 0
2.092	100	1 0 7
1.655	24	2 0 0
1.298	43	2 1 7
1.170	8	2 2 0
1.169	16	1 1 14

---

# 12
Starting from a DFT-relaxed cell (GGA-PBE, Alexandria), the XRD peak list of PrIn2Pb2 was computed for Cu Kα (λ = 1.5418 Å).
No peak broadening, texture or thermal motion is included.

a = 4.791 Å, b = 24.939 Å, c = 4.815 Å
α = 90.00°, β = 90.00°, γ = 90.00°
Space group Cmcm (No. 63)
Inequivalent atoms, fractional coordinates:
Pr  0.000  0.142  0.250 [4 per cell]
In  0.000  0.043  0.750 [4 per cell]
In  0.000  0.455  0.750 [4 per cell]
Pb  0.000  0.250  0.750 [4 per cell]
Pb  0.000  0.355  0.250 [4 per cell]

Top 8 peaks for 15 to 90 degrees two-theta, sorted by position:
d (Å)	I (rel.)	hkl
2.807	100	1 5 1
2.494	17	0 10 0
2.407	17	0 0 2
2.396	17	2 0 0
1.698	12	2 0 2
1.493	15	1 15 1
1.456	14	1 5 3
1.450	13	3 5 1